For Zr4TiH10, a DFT-relaxed cell (PBE, Alexandria) gives the simulated X-ray diffraction stick pattern in this record (a wavelength of 1.5418 Å).

Cell and atoms:
a b c (Å): 5.8964 5.8964 5.8964
angles (deg): 97.96 97.96 136.30
Atoms (fractional coordinates):
Zr 0.1019 0.7022 0.8041
Zr 0.2978 0.1019 0.3997
Zr 0.7022 0.8981 0.6003
Zr 0.8981 0.2978 0.1959
Ti 0.5000 0.5000 0.0000
H 0.0669 0.3530 0.9027
H 0.1642 0.0669 0.7139
H 0.2500 0.7500 0.5000
H 0.3530 0.4503 0.2861
H 0.4503 0.1642 0.0973
H 0.5497 0.8358 0.9027
H 0.6470 0.5497 0.7139
H 0.7500 0.2500 0.5000
H 0.8358 0.9331 0.2861
H 0.9331 0.6470 0.0973

Top 6 peaks for 10 to 80 degrees two-theta, low angle first:
2theta	I/Imax
32.96	100
36.72	35
41.14	12
52.90	13
56.31	21
63.75	27


For ZrTiH, a DFT-relaxed cell (PBE, Alexandria) gives the simulated X-ray diffraction stick pattern in this record (a wavelength of 1.5418 Å).

Cell and atoms:
a b c (Å): 5.3175 5.3175 5.4733
angles (deg): 96.57 96.57 33.10
Atoms (fractional coordinates):
Zr 0.1113 0.1113 0.3518
Zr 0.8887 0.8887 0.6482
Ti 0.3686 0.3686 0.1200
Ti 0.6314 0.6314 0.8800
H 0.2565 0.2565 0.7898
H 0.7435 0.7435 0.2102

Top 6 peaks for 10 to 80 degrees two-theta, low angle first:
2theta	I/Imax
35.53	100
35.59	35
39.47	23
42.16	44
59.20	16
72.82	16